For Sr3NdMn2O8, a GGA+U-relaxed structure gives the theoretical PXRD pattern in this record (Cu Kα (λ = 1.5418 Å)).

abc: 5.5455 5.5340 12.3659
angles: 90.00 90.00 90.00
Space group Amm2 (No. 38)
Unique sites:
1 Sr 0.0000 0.0000 0.0000 (multiplicity 2)
2 Sr 0.0000 0.0000 0.2858 (multiplicity 2)
3 Sr 0.5000 0.0000 0.7878 (multiplicity 2)
4 Nd 0.5000 0.0000 0.5066 (multiplicity 2)
5 Mn 0.0000 0.0000 0.6451 (multiplicity 2)
6 Mn 0.5000 0.0000 0.1445 (multiplicity 2)
7 O 0.0000 0.0000 0.4835 (multiplicity 2)
8 O 0.0000 0.0000 0.8021 (multiplicity 2)
9 O 0.2587 0.2467 0.6396 (multiplicity 8)
10 O 0.5000 0.0000 0.3136 (multiplicity 2)
11 O 0.5000 0.0000 0.9844 (multiplicity 2)

Peak list (12 most intense, 2θ from 10° to 90°, by angle)
- 2θ 14.3, d 6.183, intensity 9, (0 0 2)
- 2θ 23.8, d 3.734, intensity 16, (1 1 1)
- 2θ 28.9, d 3.091, intensity 10, (0 0 4)
- 2θ 31.5, d 2.840, intensity 100, (1 1 3)
- 2θ 32.3, d 2.770, intensity 76, (2 0 0)
- 2θ 43.3, d 2.091, intensity 15, (1 1 5)
- 2θ 43.9, d 2.062, intensity 44, (0 0 6)
- 2θ 46.4, d 1.959, intensity 41, (2 2 0)
- 2θ 55.6, d 1.654, intensity 21, (2 0 6)
- 2θ 57.1, d 1.612, intensity 38, (3 1 3)
- 2θ 65.8, d 1.420, intensity 14, (2 2 6)
- 2θ 76.5, d 1.245, intensity 12, (3 3 3)